MnCdF3: calculated powder diffractogram (Cu Kα (weighted mean of Kα1 and Kα2)), based on a DFT-relaxed cell (PBE+U, Alexandria).

The 12 most intense peaks (10° ≤ 2θ ≤ 90°), in order of rising 2θ:
25.6°, intensity 68; 28.8°, intensity 80; 31.0°, intensity 100; 31.8°, intensity 34; 37.8°, intensity 35; 43.4°, intensity 19; 44.3°, intensity 29; 45.6°, intensity 25; 51.9°, intensity 18; 52.9°, intensity 25; 53.5°, intensity 31; 59.6°, intensity 17

Cell and atoms:
```
MnCdF3
1.0
4.0867 0.0000 0.0000
0.0000 9.5157 2.0849
0.0000 -9.5157 2.0849
Mn Cd F
2 2 6
Direct
0.2500 0.0721 0.9279
0.7500 0.9279 0.0721
0.2500 0.4070 0.7858
0.7500 0.7858 0.4070
0.2500 0.1460 0.7699
0.2500 0.5869 0.4030
0.2500 0.9473 0.0389
0.7500 0.0389 0.9473
0.7500 0.4030 0.5869
0.7500 0.7699 0.1460
```